(1)
Y4Bi8Rh3: theoretical powder XRD pattern (Cu Kα (λ = 1.5418 Å)), based on a cell relaxed with GGA-PBE.

```
data_Y4Bi8Rh3
_chemical_formula_sum 'Y4 Bi8 Rh3'
_cell_length_a 4.6098
_cell_length_b 4.6098
_cell_length_c 18.7751
_cell_angle_alpha 90.00
_cell_angle_beta 90.00
_cell_angle_gamma 90.00
_space_group_name_H-M_alt 'P 1'
_space_group_IT_number 1
_space_group_name_Hall 'P 1'
loop_
_atom_site_label
_atom_site_fract_x
_atom_site_fract_y
_atom_site_fract_z
Y1 0.0000 0.5000 0.1089
Y2 0.0000 0.5000 0.6122
Y3 0.5000 0.0000 0.3878
Y4 0.5000 0.0000 0.8911
Bi1 0.0000 0.0000 0.2484
Bi2 0.0000 0.0000 0.7516
Bi3 0.0000 0.5000 0.4152
Bi4 0.0000 0.5000 0.9240
Bi5 0.5000 0.0000 0.0760
Bi6 0.5000 0.0000 0.5848
Bi7 0.5000 0.5000 0.2472
Bi8 0.5000 0.5000 0.7528
Rh1 0.0000 0.0000 0.0000
Rh2 0.0000 0.0000 0.5000
Rh3 0.5000 0.5000 0.5000
```

Main lines, by angle (2θ from 10° to 80°):
| two_theta | Rel. int. |
| --- | --- |
| 21.48 | 10.5 |
| 27.11 | 19.1 |
| 28.53 | 24.9 |
| 29.00 | 43.2 |
| 33.47 | 100.0 |
| 39.08 | 52.7 |
| 47.75 | 20.9 |
| 49.09 | 23.4 |
| 56.46 | 18.3 |
| 64.46 | 10.6 |
| 67.25 | 27.1 |
| 77.01 | 10.8 |

(2)
Tb2HfZn6: theoretical powder XRD pattern (Cu Kα (λ = 1.5418 Å)), based on a cell relaxed with GGA-PBE.

```
data_Tb2HfZn6
_chemical_formula_sum 'Tb2 Hf1 Zn6'
_cell_length_a 7.7054
_cell_length_b 7.7054
_cell_length_c 3.3349
_cell_angle_alpha 90.00
_cell_angle_beta 90.00
_cell_angle_gamma 120.00
_space_group_name_H-M_alt 'P 1'
_space_group_IT_number 1
_space_group_name_Hall 'P 1'
loop_
_atom_site_label
_atom_site_fract_x
_atom_site_fract_y
_atom_site_fract_z
Tb1 0.3333 0.6667 0.0000
Tb2 0.6667 0.3333 0.0000
Hf1 0.0000 0.0000 0.0000
Zn1 0.0000 0.3258 0.5000
Zn2 0.0000 0.6742 0.5000
Zn3 0.3258 0.0000 0.5000
Zn4 0.3258 0.3258 0.5000
Zn5 0.6742 0.0000 0.5000
Zn6 0.6742 0.6742 0.5000
```

Main lines, by angle (2θ from 10° to 80°):
| two_theta | Rel. int. |
| --- | --- |
| 13.27 | 0.9 |
| 23.09 | 22.9 |
| 35.61 | 100.0 |
| 40.56 | 58.9 |
| 47.18 | 3.6 |
| 49.24 | 0.6 |
| 55.06 | 36.3 |
| 60.50 | 3.5 |
| 63.93 | 3.1 |
| 70.58 | 48.3 |
| 73.78 | 9.6 |
| 75.39 | 2.0 |

(3)
NpTe: theoretical powder XRD pattern (Cu Kα (λ = 1.5418 Å)), based on a cell relaxed with GGA-PBE.

```
data_NpTe
_chemical_formula_sum 'Np2 Te2'
_cell_length_a 3.9222
_cell_length_b 3.5860
_cell_length_c 7.8634
_cell_angle_alpha 90.00
_cell_angle_beta 96.73
_cell_angle_gamma 90.00
_space_group_name_H-M_alt 'P 1'
_space_group_IT_number 1
_space_group_name_Hall 'P 1'
loop_
_atom_site_label
_atom_site_fract_x
_atom_site_fract_y
_atom_site_fract_z
Np1 0.1426 0.2500 0.0823
Np2 0.8574 0.7500 0.9177
Te1 0.3220 0.2500 0.7092
Te2 0.6780 0.7500 0.2908
```

Main lines, by angle (2θ from 10° to 80°):
| two_theta | Rel. int. |
| --- | --- |
| 11.33 | 100.0 |
| 26.75 | 12.8 |
| 30.46 | 40.1 |
| 33.96 | 84.1 |
| 36.81 | 28.4 |
| 42.93 | 32.5 |
| 44.05 | 11.8 |
| 50.93 | 11.2 |
| 56.19 | 9.7 |
| 56.41 | 15.9 |
| 60.51 | 11.7 |
| 67.18 | 10.5 |

(4)
Sr2ZnSiPt6: theoretical powder XRD pattern (Cu Kα (λ = 1.5418 Å)), based on a cell relaxed with GGA-PBE.

```
data_Sr2ZnSiPt6
_chemical_formula_sum 'Sr2 Zn1 Si1 Pt6'
_cell_length_a 5.6093
_cell_length_b 6.5721
_cell_length_c 6.9174
_cell_angle_alpha 74.72
_cell_angle_beta 66.13
_cell_angle_gamma 64.83
_space_group_name_H-M_alt 'P 1'
_space_group_IT_number 1
_space_group_name_Hall 'P 1'
loop_
_atom_site_label
_atom_site_fract_x
_atom_site_fract_y
_atom_site_fract_z
Sr1 0.2330 0.2214 0.3116
Sr2 0.7670 0.7786 0.6884
Zn1 0.5000 0.5000 0.5000
Si1 0.0000 0.0000 0.0000
Pt1 0.2423 0.2473 0.7837
Pt2 0.2497 0.6134 0.8880
Pt3 0.2736 0.7526 0.2164
Pt4 0.7264 0.2474 0.7836
Pt5 0.7503 0.3866 0.1120
Pt6 0.7577 0.7527 0.2163
```

Main lines, by angle (2θ from 10° to 80°):
| two_theta | Rel. int. |
| --- | --- |
| 14.09 | 43.9 |
| 14.99 | 26.4 |
| 21.74 | 42.0 |
| 28.27 | 34.0 |
| 28.39 | 31.6 |
| 29.20 | 28.8 |
| 30.24 | 37.0 |
| 37.64 | 100.0 |
| 38.95 | 54.7 |
| 39.47 | 55.4 |
| 43.22 | 31.9 |
| 44.53 | 24.5 |

(5)
TbTh5Pt6: theoretical powder XRD pattern (Cu Kα (λ = 1.5418 Å)), based on a cell relaxed with GGA-PBE.

```
data_TbTh5Pt6
_chemical_formula_sum 'Tb1 Th5 Pt6'
_cell_length_a 7.1463
_cell_length_b 7.1463
_cell_length_c 7.3544
_cell_angle_alpha 99.21
_cell_angle_beta 99.21
_cell_angle_gamma 119.52
_space_group_name_H-M_alt 'P 1'
_space_group_IT_number 1
_space_group_name_Hall 'P 1'
loop_
_atom_site_label
_atom_site_fract_x
_atom_site_fract_y
_atom_site_fract_z
Tb1 0.0000 0.0000 0.0000
Th1 0.1679 0.8321 0.5000
Th2 0.3331 0.6669 0.0000
Th3 0.5000 0.5000 0.5000
Th4 0.6669 0.3331 0.0000
Th5 0.8321 0.1679 0.5000
Pt1 0.0842 0.4170 0.2507
Pt2 0.2497 0.2497 0.7491
Pt3 0.4170 0.0842 0.2507
Pt4 0.5830 0.9158 0.7493
Pt5 0.7503 0.7503 0.2509
Pt6 0.9158 0.5830 0.7493
```

Main lines, by angle (2θ from 10° to 80°):
| two_theta | Rel. int. |
| --- | --- |
| 30.24 | 100.0 |
| 42.55 | 13.4 |
| 42.95 | 26.1 |
| 43.67 | 24.9 |
| 44.00 | 12.2 |
| 52.49 | 7.3 |
| 53.72 | 6.9 |
| 54.34 | 13.3 |
| 62.90 | 12.9 |
| 70.29 | 6.2 |
| 71.91 | 11.7 |
| 79.98 | 6.6 |

(6)
SmTh4Sc4: theoretical powder XRD pattern (Cu Kα (λ = 1.5418 Å)), based on a cell relaxed with GGA-PBE.

```
data_SmTh4Sc4
_chemical_formula_sum 'Sm1 Th4 Sc4'
_cell_length_a 7.7274
_cell_length_b 7.7274
_cell_length_c 7.7274
_cell_angle_alpha 95.64
_cell_angle_beta 95.64
_cell_angle_gamma 143.46
_space_group_name_H-M_alt 'P 1'
_space_group_IT_number 1
_space_group_name_Hall 'P 1'
loop_
_atom_site_label
_atom_site_fract_x
_atom_site_fract_y
_atom_site_fract_z
Sm1 0.0000 0.0000 0.0000
Th1 0.3300 0.3300 0.6601
Th2 0.3300 0.6700 0.0000
Th3 0.6700 0.3300 0.0000
Th4 0.6700 0.6700 0.3399
Sc1 0.0000 0.3396 0.3396
Sc2 0.0000 0.6604 0.6604
Sc3 0.3396 0.0000 0.3396
Sc4 0.6604 0.0000 0.6604
```

Main lines, by angle (2θ from 10° to 80°):
| two_theta | Rel. int. |
| --- | --- |
| 12.06 | 20.5 |
| 17.09 | 10.8 |
| 20.23 | 11.0 |
| 26.60 | 17.9 |
| 31.79 | 100.0 |
| 36.74 | 33.8 |
| 37.11 | 16.6 |
| 52.94 | 11.8 |
| 53.22 | 23.5 |
| 63.09 | 27.8 |
| 63.58 | 14.2 |
| 66.41 | 13.4 |

(7)
SmCu9Ni2: theoretical powder XRD pattern (Cu Kα (λ = 1.5418 Å)), based on a cell relaxed with GGA-PBE.

```
data_SmCu9Ni2
_chemical_formula_sum 'Sm2 Cu18 Ni4'
_cell_length_a 7.7757
_cell_length_b 7.7757
_cell_length_c 7.7757
_cell_angle_alpha 100.04
_cell_angle_beta 100.04
_cell_angle_gamma 130.64
_space_group_name_H-M_alt 'P 1'
_space_group_IT_number 1
_space_group_name_Hall 'P 1'
loop_
_atom_site_label
_atom_site_fract_x
_atom_site_fract_y
_atom_site_fract_z
Sm1 0.3750 0.6250 0.7500
Sm2 0.6250 0.3750 0.2500
Cu1 0.1250 0.8750 0.2500
Cu2 0.1398 0.5615 0.3324
Cu3 0.1398 0.8074 0.5783
Cu4 0.1926 0.2709 0.3324
Cu5 0.1926 0.8602 0.9217
Cu6 0.2709 0.1926 0.8324
Cu7 0.2709 0.4385 0.0783
Cu8 0.4385 0.2709 0.5783
Cu9 0.4385 0.8602 0.1676
Cu10 0.5615 0.1398 0.8324
Cu11 0.5615 0.7291 0.4217
Cu12 0.7291 0.5615 0.9217
Cu13 0.7291 0.8074 0.1676
Cu14 0.8074 0.1398 0.0783
Cu15 0.8074 0.7291 0.6676
Cu16 0.8602 0.1926 0.4217
Cu17 0.8602 0.4385 0.6676
Cu18 0.8750 0.1250 0.7500
Ni1 0.0000 0.0000 0.0000
Ni2 0.0000 0.0000 0.5000
Ni3 0.0000 0.5000 0.0000
Ni4 0.5000 0.0000 0.5000
```

Main lines, by angle (2θ from 10° to 80°):
| two_theta | Rel. int. |
| --- | --- |
| 30.30 | 14.9 |
| 35.21 | 38.4 |
| 39.81 | 100.0 |
| 40.37 | 74.8 |
| 42.75 | 34.0 |
| 45.83 | 17.8 |
| 46.63 | 12.6 |
| 47.61 | 47.8 |
| 49.52 | 31.6 |
| 51.20 | 12.3 |
| 61.12 | 20.5 |
| 73.02 | 27.1 |

(8)
DyHo4Rh2: theoretical powder XRD pattern (Cu Kα (λ = 1.5418 Å)), based on a cell relaxed with GGA-PBE.

```
data_DyHo4Rh2
_chemical_formula_sum 'Dy2 Ho8 Rh4'
_cell_length_a 7.8068
_cell_length_b 6.3396
_cell_length_c 7.8312
_cell_angle_alpha 90.00
_cell_angle_beta 112.69
_cell_angle_gamma 90.00
_space_group_name_H-M_alt 'P 1'
_space_group_IT_number 1
_space_group_name_Hall 'P 1'
loop_
_atom_site_label
_atom_site_fract_x
_atom_site_fract_y
_atom_site_fract_z
Dy1 0.0269 0.2500 0.1592
Dy2 0.9731 0.7500 0.8408
Ho1 0.2378 0.5025 0.5886
Ho2 0.2378 0.9975 0.5886
Ho3 0.3355 0.7500 0.2482
Ho4 0.3831 0.2500 0.0172
Ho5 0.6169 0.7500 0.9828
Ho6 0.6645 0.2500 0.7518
Ho7 0.7622 0.0025 0.4114
Ho8 0.7622 0.4975 0.4114
Rh1 0.0108 0.2500 0.7446
Rh2 0.4108 0.2500 0.3739
Rh3 0.5892 0.7500 0.6261
Rh4 0.9892 0.7500 0.2554
```

Main lines, by angle (2θ from 10° to 80°):
| two_theta | Rel. int. |
| --- | --- |
| 28.15 | 22.0 |
| 30.84 | 100.0 |
| 31.39 | 42.7 |
| 31.73 | 62.8 |
| 34.41 | 45.4 |
| 34.52 | 26.1 |
| 34.80 | 36.1 |
| 36.05 | 26.3 |
| 36.60 | 64.5 |
| 37.80 | 60.6 |
| 47.51 | 26.3 |
| 58.53 | 23.0 |

(9)
Ac2MgSi3Pd12: theoretical powder XRD pattern (Cu Kα (λ = 1.5418 Å)), based on a cell relaxed with GGA-PBE.

```
data_Ac2MgSi3Pd12
_chemical_formula_sum 'Ac2 Mg1 Si3 Pd12'
_cell_length_a 6.9694
_cell_length_b 6.9694
_cell_length_c 6.9694
_cell_angle_alpha 82.97
_cell_angle_beta 82.97
_cell_angle_gamma 82.97
_space_group_name_H-M_alt 'P 1'
_space_group_IT_number 1
_space_group_name_Hall 'P 1'
loop_
_atom_site_label
_atom_site_fract_x
_atom_site_fract_y
_atom_site_fract_z
Ac1 0.1307 0.1307 0.1307
Ac2 0.8693 0.8693 0.8693
Mg1 0.5000 0.5000 0.5000
Si1 0.0000 0.5000 0.5000
Si2 0.5000 0.0000 0.5000
Si3 0.5000 0.5000 0.0000
Pd1 0.1423 0.1423 0.5812
Pd2 0.1423 0.5812 0.1423
Pd3 0.1780 0.6730 0.6730
Pd4 0.3270 0.3270 0.8220
Pd5 0.3270 0.8220 0.3270
Pd6 0.4188 0.8577 0.8577
Pd7 0.5812 0.1423 0.1423
Pd8 0.6730 0.1780 0.6730
Pd9 0.6730 0.6730 0.1780
Pd10 0.8220 0.3270 0.3270
Pd11 0.8577 0.4188 0.8577
Pd12 0.8577 0.8577 0.4188
```

Main lines, by angle (2θ from 10° to 80°):
| two_theta | Rel. int. |
| --- | --- |
| 12.88 | 21.8 |
| 19.78 | 14.9 |
| 27.72 | 15.5 |
| 30.31 | 26.8 |
| 34.84 | 59.1 |
| 35.16 | 22.1 |
| 39.02 | 100.0 |
| 40.38 | 16.0 |
| 44.11 | 15.7 |
| 53.30 | 17.1 |
| 61.12 | 14.7 |
| 70.68 | 13.2 |

(10)
La5Nd2Er12: theoretical powder XRD pattern (Cu Kα (λ = 1.5418 Å)), based on a cell relaxed with GGA-PBE.

```
data_La5Nd2Er12
_chemical_formula_sum 'La5 Nd2 Er12'
_cell_length_a 6.2132
_cell_length_b 9.5419
_cell_length_c 10.7317
_cell_angle_alpha 78.92
_cell_angle_beta 84.40
_cell_angle_gamma 89.97
_space_group_name_H-M_alt 'P 1'
_space_group_IT_number 1
_space_group_name_Hall 'P 1'
loop_
_atom_site_label
_atom_site_fract_x
_atom_site_fract_y
_atom_site_fract_z
La1 0.0000 0.0000 0.0000
La2 0.1565 0.6330 0.0531
La3 0.2630 0.0531 0.4215
La4 0.7370 0.9469 0.5785
La5 0.8435 0.3670 0.9469
Nd1 0.4196 0.6821 0.4730
Nd2 0.5804 0.3179 0.5270
Er1 0.0562 0.2134 0.6841
Er2 0.1029 0.4212 0.3688
Er3 0.2129 0.8404 0.7385
Er4 0.3173 0.2637 0.1044
Er5 0.3681 0.4745 0.7885
Er6 0.4754 0.8942 0.1570
Er7 0.5246 0.1058 0.8430
Er8 0.6319 0.5255 0.2115
Er9 0.6827 0.7363 0.8956
Er10 0.7871 0.1596 0.2615
Er11 0.8971 0.5788 0.6312
Er12 0.9438 0.7866 0.3159
```

Main lines, by angle (2θ from 10° to 80°):
| two_theta | Rel. int. |
| --- | --- |
| 30.38 | 50.6 |
| 30.51 | 100.0 |
| 30.62 | 49.5 |
| 35.33 | 67.8 |
| 35.44 | 33.6 |
| 50.67 | 12.2 |
| 50.72 | 12.2 |
| 50.94 | 36.1 |
| 60.38 | 21.6 |
| 60.48 | 28.7 |
| 60.63 | 21.4 |
| 63.50 | 12.4 |